(1)
For Mn4HgCl8, a cell relaxed with GGA-PBE gives the computed X-ray powder pattern in this record (λ = 1.5418 Å (Cu Kα)).

Structural model:
Cell: 9.415 9.415 12.897 Å, 131.85 131.85 22.77°
Atoms (fractional coordinates):
Mn 0.000 0.000 0.000
Mn 0.182 0.182 0.693
Mn 0.513 0.513 0.344
Mn 0.698 0.698 0.044
Hg 0.848 0.848 0.521
Cl 0.139 0.139 0.457
Cl 0.189 0.189 0.170
Cl 0.199 0.199 0.912
Cl 0.496 0.496 0.129
Cl 0.507 0.507 0.874
Cl 0.555 0.555 0.581
Cl 0.807 0.807 0.797
Cl 0.888 0.888 0.242

Top 6 peaks for 2θ from 10° to 90°, in order of falling intensity:
2θ/deg, I (rel.)
31.19, 100
31.83, 96
28.37, 91
21.04, 75
21.54, 72
49.93, 58

(2)
For RbMn2HgCl8, a cell relaxed with GGA-PBE gives the computed X-ray powder pattern in this record (λ = 1.5418 Å (Cu Kα)).

Structural model:
Cell: 6.654 6.654 9.374 Å, 90.00 90.00 120.00°
Atoms (fractional coordinates):
Rb 0.000 0.000 0.000
Mn 0.333 0.667 0.739
Mn 0.667 0.333 0.261
Hg 0.000 0.000 0.500
Cl 0.005 0.325 0.676
Cl 0.321 0.995 0.676
Cl 0.325 0.321 0.324
Cl 0.333 0.667 0.976
Cl 0.667 0.333 0.024
Cl 0.675 0.679 0.676
Cl 0.679 0.005 0.324
Cl 0.995 0.675 0.324

Top 6 peaks for 2θ from 10° to 90°, in order of falling intensity:
2θ/deg, I (rel.)
24.48, 100
18.07, 79
15.38, 62
33.02, 60
26.80, 58
47.45, 47

(3)
For MnHgSbCl6, a cell relaxed with GGA-PBE gives the computed X-ray powder pattern in this record (λ = 1.5418 Å (Cu Kα)).

Structural model:
Cell: 6.660 6.804 8.505 Å, 85.81 81.55 60.71°
Atoms (fractional coordinates):
Mn 0.000 0.000 0.000
Hg 0.301 0.400 0.500
Sb 0.660 0.680 0.000
Cl 0.020 0.264 0.831
Cl 0.322 0.717 0.842
Cl 0.324 0.961 0.178
Cl 0.715 0.961 0.822
Cl 0.717 0.263 0.169
Cl 0.961 0.717 0.158

Top 6 peaks for 2θ from 10° to 90°, in order of falling intensity:
2θ/deg, I (rel.)
17.51, 100
18.30, 88
31.96, 72
19.77, 71
35.23, 53
26.28, 35

(4)
For MnVHgCl6, a cell relaxed with GGA-PBE gives the computed X-ray powder pattern in this record (λ = 1.5418 Å (Cu Kα)).

Structural model:
Cell: 6.189 6.189 8.876 Å, 90.45 90.45 119.93°
Atoms (fractional coordinates):
Mn 0.000 0.000 0.000
V 0.666 0.334 0.000
Hg 0.324 0.676 0.500
Cl 0.341 0.308 0.847
Cl 0.348 0.036 0.152
Cl 0.686 0.029 0.848
Cl 0.692 0.659 0.153
Cl 0.964 0.652 0.848
Cl 0.971 0.314 0.152

Top 6 peaks for 2θ from 10° to 90°, in order of falling intensity:
2θ/deg, I (rel.)
19.22, 100
19.35, 98
19.45, 97
35.50, 79
35.05, 57
46.03, 44

(5)
For HgMoCl6, a cell relaxed with GGA-PBE gives the computed X-ray powder pattern in this record (λ = 1.5418 Å (Cu Kα)).

Structural model:
Cell: 6.833 6.833 13.759 Å, 104.18 104.18 60.59°
Atoms (fractional coordinates):
Hg 0.206 0.794 0.750
Hg 0.794 0.206 0.250
Mo 0.000 0.500 0.500
Mo 0.500 0.000 0.000
Cl 0.018 0.242 0.587
Cl 0.171 0.198 0.368
Cl 0.198 0.171 0.868
Cl 0.242 0.018 0.087
Cl 0.359 0.462 0.592
Cl 0.462 0.359 0.092
Cl 0.538 0.641 0.908
Cl 0.641 0.538 0.408
Cl 0.758 0.982 0.913
Cl 0.802 0.829 0.132
Cl 0.829 0.802 0.632
Cl 0.982 0.758 0.413

Top 6 peaks for 2θ from 10° to 90°, in order of falling intensity:
2θ/deg, I (rel.)
15.55, 100
17.52, 39
29.44, 27
35.17, 25
27.03, 25
47.88, 19

(6)
For Hg2MoCl, a cell relaxed with GGA-PBE gives the computed X-ray powder pattern in this record (λ = 1.5418 Å (Cu Kα)).

Structural model:
Cell: 4.906 3.307 5.419 Å, 90.00 103.74 90.00°
Atoms (fractional coordinates):
Hg 0.000 0.000 0.000
Hg 0.500 0.500 0.000
Mo 0.000 0.500 0.500
Cl 0.500 0.000 0.500

Top 6 peaks for 2θ from 10° to 90°, in order of falling intensity:
2θ/deg, I (rel.)
35.06, 100
39.33, 73
16.84, 68
34.06, 54
37.76, 41
32.97, 29

(7)
For Na2Hg3Cl8, a cell relaxed with GGA-PBE gives the computed X-ray powder pattern in this record (λ = 1.5418 Å (Cu Kα)).

Structural model:
Cell: 8.026 8.026 6.941 Å, 104.53 104.53 58.54°
Atoms (fractional coordinates):
Na 0.231 0.231 0.146
Na 0.769 0.769 0.854
Hg 0.243 0.757 0.500
Hg 0.500 0.500 0.000
Hg 0.757 0.243 0.500
Cl 0.115 0.115 0.425
Cl 0.152 0.615 0.098
Cl 0.385 0.848 0.902
Cl 0.387 0.387 0.582
Cl 0.613 0.613 0.418
Cl 0.615 0.152 0.098
Cl 0.848 0.385 0.902
Cl 0.885 0.885 0.575

Top 6 peaks for 2θ from 10° to 90°, in order of falling intensity:
2θ/deg, I (rel.)
13.20, 100
27.77, 52
34.83, 45
26.34, 33
26.82, 30
40.58, 27

(8)
For Na3HgCl6, a cell relaxed with GGA-PBE gives the computed X-ray powder pattern in this record (λ = 1.5418 Å (Cu Kα)).

Structural model:
Cell: 6.923 7.472 11.658 Å, 90.00 120.80 90.00°
Atoms (fractional coordinates):
Na 0.000 0.000 0.000
Na 0.000 0.500 0.500
Na 0.184 0.074 0.721
Na 0.184 0.426 0.221
Na 0.816 0.574 0.779
Na 0.816 0.926 0.279
Hg 0.500 0.000 0.500
Hg 0.500 0.500 0.000
Cl 0.153 0.176 0.463
Cl 0.153 0.324 0.963
Cl 0.207 0.698 0.395
Cl 0.207 0.802 0.895
Cl 0.421 0.087 0.270
Cl 0.421 0.413 0.770
Cl 0.579 0.587 0.230
Cl 0.579 0.913 0.730
Cl 0.793 0.198 0.105
Cl 0.793 0.302 0.605
Cl 0.847 0.676 0.037
Cl 0.847 0.824 0.537

Top 6 peaks for 2θ from 10° to 90°, in order of falling intensity:
2θ/deg, I (rel.)
14.79, 100
17.51, 64
24.11, 42
29.16, 34
43.50, 33
25.87, 32

(9)
For Na2Hg4Cl9, a cell relaxed with GGA-PBE gives the computed X-ray powder pattern in this record (λ = 1.5418 Å (Cu Kα)).

Structural model:
Cell: 7.066 7.185 19.633 Å, 84.48 82.70 61.38°
Atoms (fractional coordinates):
Na 0.006 0.470 0.348
Na 0.017 0.489 0.142
Na 0.983 0.511 0.858
Na 0.994 0.530 0.652
Hg 0.294 0.818 0.293
Hg 0.310 0.848 0.506
Hg 0.317 0.848 0.812
Hg 0.364 0.800 0.016
Hg 0.636 0.200 0.984
Hg 0.683 0.152 0.188
Hg 0.690 0.152 0.494
Hg 0.706 0.182 0.707
Cl 0.011 0.188 0.249
Cl 0.030 0.857 0.088
Cl 0.056 0.798 0.405
Cl 0.295 0.494 0.244
Cl 0.313 0.529 0.921
Cl 0.331 0.115 0.427
Cl 0.334 0.216 0.738
Cl 0.341 0.562 0.583
Cl 0.401 0.138 0.081
Cl 0.599 0.862 0.919
Cl 0.659 0.438 0.417
Cl 0.666 0.784 0.262
Cl 0.669 0.885 0.573
Cl 0.687 0.471 0.079
Cl 0.705 0.506 0.756
Cl 0.944 0.202 0.595
Cl 0.970 0.143 0.912
Cl 0.989 0.812 0.751

Top 6 peaks for 2θ from 10° to 90°, in order of falling intensity:
2θ/deg, I (rel.)
24.91, 100
14.59, 77
22.19, 67
22.63, 64
29.48, 64
24.49, 63